Record 1
For K3GeH3S3O2, DFT lattice parameters and positions (GGA-PBE) gives the simulated powder diffraction line list in this record (Cu Kα X-rays).
No peak broadening, texture or thermal motion is included.

Main lines, in order of rising 2θ (2θ from 10° to 90°):
5.822 Å, 2θ 15.2, I = 48.3, hkl 1 1 0; 5.729 Å, 2θ 15.5, I = 51.0, hkl 1 0 1; 3.321 Å, 2θ 26.8, I = 49.2, hkl 0 2 1; 3.158 Å, 2θ 28.3, I = 57.3, hkl 2 0 0; 3.011 Å, 2θ 29.7, I = 69.0, hkl 0 1 3; 2.911 Å, 2θ 30.7, I = 100.0, hkl 2 2 0

Cell and atoms:
```
K3GeH3S3O2
1.0
6.8030 0.0000 0.0000
2.6287 7.0762 0.0000
1.4459 -0.1463 10.0496
K Ge H S O
6 2 6 6 4
Cartesian
2.0377 2.6387 2.2718
4.2739 5.1595 4.4452
4.1350 6.0780 0.5276
6.7425 0.8519 9.5220
6.6036 1.7704 5.6044
8.8398 4.2912 7.7778
3.4269 0.7106 7.2746
7.4506 6.2193 2.7750
3.2136 0.5375 3.7861
5.3178 2.9958 8.3199
5.7539 4.3396 7.6750
5.1237 2.5903 2.3746
5.5597 3.9341 1.7297
7.6639 6.3925 6.2634
4.5148 6.2161 7.4740
3.1417 2.0289 5.5283
3.6500 1.8319 9.1643
7.2275 5.0980 0.8852
7.7358 4.9010 4.5213
6.3627 0.7138 2.5755
3.1693 -0.0139 2.9553
4.7519 3.4806 2.1143
6.1256 3.4493 7.9353
7.7082 6.9438 7.0942
```

***

Record 2
For Ge7HN3O20, DFT lattice parameters and positions (GGA-PBE) gives the simulated powder diffraction line list in this record (Cu Kα X-rays).
No peak broadening, texture or thermal motion is included.

Main lines, in order of rising 2θ (2θ from 10° to 90°):
7.782 Å, 2θ 11.4, I = 100.0, hkl 1 0 0; 4.493 Å, 2θ 19.8, I = 19.6, hkl 1 1 1; 3.177 Å, 2θ 28.1, I = 31.4, hkl 2 1 1; 2.751 Å, 2θ 32.5, I = 18.8, hkl 2 2 0; 2.461 Å, 2θ 36.5, I = 18.0, hkl 3 1 0; 2.346 Å, 2θ 38.4, I = 14.8, hkl 3 1 1

Cell and atoms:
```
Ge7HN3O20
1.0
7.7820 0.0000 0.0000
0.0000 7.7820 0.0000
0.0000 0.0000 7.7820
Ge H N O
7 1 3 20
Cartesian
0.0000 0.0000 3.8910
0.0000 3.8910 0.0000
1.1595 1.1595 6.6225
1.1595 6.6225 1.1595
3.8910 0.0000 0.0000
6.6225 1.1595 1.1595
6.6225 6.6225 6.6225
0.0000 0.0000 0.0000
0.0000 3.8910 3.8910
3.8910 0.0000 3.8910
3.8910 3.8910 0.0000
0.8817 0.8817 0.8817
0.8817 6.9003 6.9003
1.0607 1.0607 4.8177
1.0607 2.9643 6.7213
1.0607 4.8177 1.0607
1.0607 6.7213 2.9643
2.3869 2.3869 2.3869
2.3869 5.3951 5.3951
2.9643 1.0607 6.7213
2.9643 6.7213 1.0607
4.8177 1.0607 1.0607
4.8177 6.7213 6.7213
5.3951 2.3869 5.3951
5.3951 5.3951 2.3869
6.7213 1.0607 2.9643
6.7213 2.9643 1.0607
6.7213 4.8177 6.7213
6.7213 6.7213 4.8177
6.9003 0.8817 6.9003
6.9003 6.9003 0.8817
```